Record 1
The following is a simulated X-ray powder pattern of Ho4US7. It was derived from a crystal structure in Alexandria, relaxed with PBE, using λ = 1.5418 Å (Cu Kα).
Neutral-atom scattering factors, no anomalous dispersion.

Peak list (10 most intense, 5° ≤ 2θ ≤ 70°, by angle)
- 3.720 Å, 2θ = 23.92°, I 100
- 3.644 Å, 2θ = 24.43°, I 93
- 3.617 Å, 2θ = 24.61°, I 35
- 3.371 Å, 2θ = 26.44°, I 47
- 3.205 Å, 2θ = 27.83°, I 49
- 2.824 Å, 2θ = 31.68°, I 48
- 2.690 Å, 2θ = 33.30°, I 61
- 2.606 Å, 2θ = 34.42°, I 44
- 2.143 Å, 2θ = 42.16°, I 35
- 2.074 Å, 2θ = 43.64°, I 33

```
Ho4US7
1.0
6.412 -1.891 0.000
6.412 1.891 0.000
-2.960 0.000 11.241
Ho U S
4 1 7
Cartesian
0.000 0.000 0.000
3.250 0.000 7.037
6.310 0.000 4.402
6.574 0.000 9.125
9.753 0.000 2.672
-1.742 0.000 8.588
1.616 0.000 3.566
2.035 0.000 9.712
5.206 0.000 1.831
8.370 0.000 0.314
7.726 0.000 6.724
10.932 0.000 5.247
```

---

Record 2
The following is a simulated X-ray powder pattern of Ag5C3. It was derived from a crystal structure in Alexandria, relaxed with PBE, using λ = 1.5418 Å (Cu Kα).
Neutral-atom scattering factors, no anomalous dispersion.

Peak list (10 most intense, 5° ≤ 2θ ≤ 70°, by angle)
- 2.949 Å, 2θ = 30.31°, I 63
- 2.852 Å, 2θ = 31.36°, I 61
- 2.702 Å, 2θ = 33.16°, I 25
- 2.334 Å, 2θ = 38.57°, I 100
- 2.042 Å, 2θ = 44.35°, I 23
- 1.961 Å, 2θ = 46.29°, I 44
- 1.875 Å, 2θ = 48.56°, I 18
- 1.801 Å, 2θ = 50.68°, I 25
- 1.759 Å, 2θ = 51.97°, I 18
- 1.540 Å, 2θ = 60.06°, I 19

```
Ag5C3
1.0
6.239 0.000 0.000
-3.120 5.403 0.000
0.000 0.000 7.038
Ag C
10 6
Cartesian
-0.807 1.397 1.759
-2.313 4.006 5.278
1.614 0.000 1.759
0.807 1.397 5.278
0.000 3.602 0.000
0.000 3.602 3.519
3.120 1.801 0.000
3.120 1.801 3.519
4.626 0.000 5.278
2.313 4.006 1.759
-1.233 2.136 5.278
-1.886 3.267 1.759
2.467 0.000 5.278
1.233 2.136 1.759
3.773 0.000 1.759
1.886 3.267 5.278
```

---

Record 3
The following is a simulated X-ray powder pattern of LiDy5Ag4. It was derived from a crystal structure in Alexandria, relaxed with PBE, using λ = 1.5418 Å (Cu Kα).
Neutral-atom scattering factors, no anomalous dispersion.

Peak list (10 most intense, 5° ≤ 2θ ≤ 70°, by angle)
- 9.181 Å, 2θ = 9.63°, I 4
- 3.672 Å, 2θ = 24.24°, I 5
- 3.629 Å, 2θ = 24.53°, I 9
- 2.581 Å, 2θ = 34.76°, I 100
- 2.566 Å, 2θ = 34.97°, I 49
- 2.103 Å, 2θ = 43.00°, I 4
- 1.836 Å, 2θ = 49.65°, I 9
- 1.814 Å, 2θ = 50.29°, I 17
- 1.493 Å, 2θ = 62.17°, I 18
- 1.484 Å, 2θ = 62.58°, I 35

```
LiDy5Ag4
1.0
3.629 0.000 0.000
0.000 3.629 0.000
0.000 0.000 18.361
Li Dy Ag
1 5 4
Cartesian
0.000 0.000 0.000
1.814 1.814 1.898
1.814 1.814 5.520
1.814 1.814 9.181
1.814 1.814 12.841
1.814 1.814 16.463
0.000 0.000 3.652
0.000 0.000 7.354
0.000 0.000 11.008
0.000 0.000 14.709
```

---

Record 4
The following is a simulated X-ray powder pattern of Ca3TbNi8. It was derived from a crystal structure in Alexandria, relaxed with PBE, using λ = 1.5418 Å (Cu Kα).
Neutral-atom scattering factors, no anomalous dispersion.

Peak list (10 most intense, 5° ≤ 2θ ≤ 70°, by angle)
- 8.291 Å, 2θ = 10.67°, I 14
- 4.339 Å, 2θ = 20.47°, I 9
- 4.151 Å, 2θ = 21.40°, I 9
- 3.595 Å, 2θ = 24.76°, I 6
- 3.298 Å, 2θ = 27.03°, I 4
- 2.542 Å, 2θ = 35.31°, I 29
- 2.168 Å, 2θ = 41.66°, I 100
- 2.076 Å, 2θ = 43.60°, I 38
- 1.468 Å, 2θ = 63.34°, I 8
- 1.384 Å, 2θ = 67.70°, I 27

```
Ca3TbNi8
1.0
2.544 1.469 8.291
-2.544 1.469 8.291
0.000 -2.937 8.291
Ca Tb Ni
3 1 8
Cartesian
0.000 0.000 0.000
0.000 0.000 3.077
0.000 0.000 15.623
0.000 0.000 12.479
0.000 -1.457 5.691
-1.261 0.728 5.691
-1.260 -0.728 9.900
0.000 0.000 7.797
1.261 0.728 5.691
1.260 -0.728 9.900
0.000 1.455 9.900
0.000 0.000 20.235
```

---

Record 5
The following is a simulated X-ray powder pattern of Tb2F5. It was derived from a crystal structure in Alexandria, relaxed with PBE, using λ = 1.5418 Å (Cu Kα).
Neutral-atom scattering factors, no anomalous dispersion.

Peak list (10 most intense, 5° ≤ 2θ ≤ 70°, by angle)
- 3.610 Å, 2θ = 24.66°, I 100
- 3.100 Å, 2θ = 28.80°, I 28
- 3.023 Å, 2θ = 29.55°, I 24
- 3.012 Å, 2θ = 29.66°, I 55
- 2.497 Å, 2θ = 35.97°, I 14
- 1.994 Å, 2θ = 45.48°, I 25
- 1.953 Å, 2θ = 46.50°, I 16
- 1.945 Å, 2θ = 46.71°, I 19
- 1.925 Å, 2θ = 47.21°, I 16
- 1.888 Å, 2θ = 48.19°, I 13

```
Tb2F5
1.0
6.177 -2.497 0.000
6.177 2.497 0.000
-1.340 0.000 6.390
Tb F
4 10
Cartesian
3.638 1.418 5.754
6.705 1.418 3.831
4.309 -1.418 2.559
7.375 -1.418 0.636
5.842 1.983 1.598
1.494 0.333 5.457
2.164 -0.333 2.262
4.441 0.578 3.731
5.903 0.578 5.854
5.111 -0.578 0.536
6.573 -0.578 2.659
8.850 0.333 4.128
9.520 -0.333 0.933
5.172 -1.983 4.793
```

---

Record 6
The following is a simulated X-ray powder pattern of SmEuAu. It was derived from a crystal structure in Alexandria, relaxed with PBE, using λ = 1.5418 Å (Cu Kα).
Neutral-atom scattering factors, no anomalous dispersion.

Peak list (10 most intense, 5° ≤ 2θ ≤ 70°, by angle)
- 4.115 Å, 2θ = 21.60°, I 9
- 2.980 Å, 2θ = 29.98°, I 100
- 2.496 Å, 2θ = 35.98°, I 68
- 2.134 Å, 2θ = 42.36°, I 10
- 1.914 Å, 2θ = 47.52°, I 28
- 1.858 Å, 2θ = 49.04°, I 23
- 1.588 Å, 2θ = 58.10°, I 8
- 1.519 Å, 2θ = 61.02°, I 27
- 1.490 Å, 2θ = 62.30°, I 11
- 1.441 Å, 2θ = 64.69°, I 12

```
SmEuAu
1.0
4.992 0.000 0.000
-2.496 4.323 0.000
0.000 0.000 4.115
Sm Eu Au
1 1 1
Cartesian
0.000 0.000 0.000
2.496 1.441 2.207
0.000 2.882 0.801
```

---

Record 7
The following is a simulated X-ray powder pattern of TlIn2Ru. It was derived from a crystal structure in Alexandria, relaxed with PBE, using λ = 1.5418 Å (Cu Kα).
Neutral-atom scattering factors, no anomalous dispersion.

Peak list (10 most intense, 5° ≤ 2θ ≤ 70°, by angle)
- 3.041 Å, 2θ = 29.37°, I 25
- 2.883 Å, 2θ = 31.02°, I 15
- 2.597 Å, 2θ = 34.53°, I 100
- 2.297 Å, 2θ = 39.22°, I 47
- 1.800 Å, 2θ = 50.72°, I 15
- 1.796 Å, 2θ = 50.82°, I 15
- 1.624 Å, 2θ = 56.68°, I 16
- 1.574 Å, 2θ = 58.63°, I 9
- 1.527 Å, 2θ = 60.65°, I 9
- 1.377 Å, 2θ = 68.09°, I 27

```
TlIn2Ru
1.0
3.248 0.000 0.000
0.000 3.248 0.000
0.000 0.000 8.650
Tl In Ru
1 2 1
Cartesian
0.000 0.000 0.000
1.624 1.624 2.720
1.624 1.624 5.930
0.000 0.000 4.325
```

---

Record 8
The following is a simulated X-ray powder pattern of Tb3Tm4Tl2. It was derived from a crystal structure in Alexandria, relaxed with PBE, using λ = 1.5418 Å (Cu Kα).
Neutral-atom scattering factors, no anomalous dispersion.

Peak list (10 most intense, 5° ≤ 2θ ≤ 70°, by angle)
- 3.143 Å, 2θ = 28.39°, I 21
- 3.071 Å, 2θ = 29.08°, I 25
- 2.894 Å, 2θ = 30.90°, I 35
- 2.853 Å, 2θ = 31.36°, I 21
- 2.745 Å, 2θ = 32.63°, I 58
- 2.682 Å, 2θ = 33.41°, I 52
- 2.671 Å, 2θ = 33.55°, I 64
- 2.643 Å, 2θ = 33.92°, I 100
- 2.532 Å, 2θ = 35.45°, I 27
- 1.744 Å, 2θ = 52.46°, I 30

```
Tb3Tm4Tl2
1.0
6.860 -6.293 0.000
6.860 6.293 0.000
-1.082 0.000 6.286
Tb Tm Tl
6 8 4
Cartesian
6.048 5.942 4.715
4.388 0.789 5.720
4.929 -0.789 2.576
7.708 0.789 3.710
8.249 -0.789 0.567
6.589 -5.942 1.572
2.340 2.079 0.501
5.207 2.788 2.698
1.799 -2.079 3.644
7.971 2.788 0.446
4.666 -2.788 5.841
10.838 2.079 2.643
7.430 -2.788 3.589
10.297 -2.079 5.786
2.306 1.055 3.523
2.847 -1.055 0.380
9.790 1.055 5.907
10.331 -1.055 2.763
```

---

Record 9
The following is a simulated X-ray powder pattern of TlSbTe4. It was derived from a crystal structure in Alexandria, relaxed with PBE, using λ = 1.5418 Å (Cu Kα).
Neutral-atom scattering factors, no anomalous dispersion.

Peak list (10 most intense, 5° ≤ 2θ ≤ 70°, by angle)
- 4.317 Å, 2θ = 20.57°, I 29
- 3.955 Å, 2θ = 22.48°, I 27
- 3.757 Å, 2θ = 23.68°, I 100
- 3.176 Å, 2θ = 28.09°, I 27
- 2.992 Å, 2θ = 29.86°, I 46
- 2.946 Å, 2θ = 30.34°, I 28
- 2.494 Å, 2θ = 36.01°, I 46
- 2.350 Å, 2θ = 38.29°, I 27
- 2.249 Å, 2θ = 40.10°, I 23
- 1.497 Å, 2θ = 62.01°, I 22

```
TlSbTe4
1.0
7.519 0.000 0.000
-0.010 7.635 0.000
-3.745 -2.345 7.910
Tl Sb Te
2 2 8
Cartesian
1.374 1.911 0.001
2.390 3.379 7.909
-1.878 2.645 3.955
1.887 -1.173 3.955
-2.026 4.121 6.713
-1.006 -0.332 4.711
1.724 4.993 1.194
1.015 3.484 4.713
2.749 1.806 3.196
2.040 0.297 6.716
4.770 5.622 3.199
5.790 1.169 1.197
```

---

Record 10
The following is a simulated X-ray powder pattern of Sm4HoEr2Sc. It was derived from a crystal structure in Alexandria, relaxed with PBE, using λ = 1.5418 Å (Cu Kα).
Neutral-atom scattering factors, no anomalous dispersion.

Peak list (10 most intense, 5° ≤ 2θ ≤ 70°, by angle)
- 2.894 Å, 2θ = 30.90°, I 100
- 2.864 Å, 2θ = 31.23°, I 32
- 2.502 Å, 2θ = 35.89°, I 45
- 2.494 Å, 2θ = 36.00°, I 22
- 1.773 Å, 2θ = 51.55°, I 16
- 1.761 Å, 2θ = 51.93°, I 23
- 1.514 Å, 2θ = 61.22°, I 10
- 1.510 Å, 2θ = 61.42°, I 23
- 1.506 Å, 2θ = 61.57°, I 9
- 1.447 Å, 2θ = 64.39°, I 12

```
Sm4HoEr2Sc
1.0
6.137 0.000 0.000
0.000 3.554 0.000
-2.071 0.000 11.457
Sm Ho Er Sc
4 1 2 1
Cartesian
1.005 0.000 2.795
-0.023 1.777 8.619
4.089 1.777 2.838
3.062 0.000 8.662
-1.035 0.000 5.728
3.069 0.000 0.000
2.033 1.777 5.728
0.000 1.777 0.000
```